Structure and calculated X-ray diffraction stick pattern of Li3TiNi3O8 (DFT lattice parameters and positions (PBE+U); λ = 1.5418 Å (Cu Kα)).
Neutral-atom scattering factors, no anomalous dispersion.

The 10 most intense peaks (2θ = 10–90°), low angle first:
Position (°2θ)	intensity
18.35	1000
35.43	138
36.52	248
37.77	123
42.50	233
44.33	415
47.52	85
62.64	58
62.77	58
63.47	118

Atomic structure:
```
Li3TiNi3O8
1.0
5.747 0.000 0.000
0.008 5.814 0.000
2.871 2.840 4.254
Li Ti Ni O
3 1 3 8
Direct
0.000 0.000 0.000
0.000 0.000 0.500
0.500 0.000 0.000
0.500 0.500 0.500
0.000 0.500 0.000
0.000 0.500 0.500
0.500 0.500 0.000
0.208 0.703 0.058
0.244 0.279 0.494
0.247 0.729 0.487
0.249 0.280 0.971
0.751 0.720 0.029
0.753 0.271 0.513
0.756 0.721 0.506
0.792 0.297 0.942
```